# Fe2NiO4
Calculated X-ray powder pattern, copper Kα. Input: DFT lattice parameters and positions (GGA+U).
No peak broadening, texture or thermal motion is included.

Main lines, in order of falling intensity (2θ = 10–90°):
2θ = 35.3°, intensity 100
2θ = 62.2°, intensity 37
2θ = 29.9°, intensity 26
2θ = 42.8°, intensity 22
2θ = 56.6°, intensity 22
2θ = 56.7°, intensity 12
2θ = 18.2°, intensity 10
2θ = 36.9°, intensity 10
2θ = 89.1°, intensity 8
2θ = 62.1°, intensity 8

Crystal structure
```
Fe2NiO4
1.0
-2.982 2.991 4.218
2.982 -2.991 4.218
2.982 2.991 -4.218
Fe Ni O
4 2 8
Cartesian
0.000 0.000 0.000 Fe
2.982 1.496 1.088 Fe
0.000 2.991 0.000 Fe
0.000 1.496 3.131 Fe
1.491 1.496 -2.109 Ni
1.491 -1.496 2.109 Ni
2.982 2.941 -2.196 O
1.403 1.496 -0.021 O
1.580 -1.496 4.198 O
2.982 -0.051 2.196 O
0.000 3.042 2.022 O
1.403 4.487 0.021 O
1.580 1.496 4.239 O
0.000 0.051 6.415 O
```